Computed powder X-ray diffraction pattern of Sr6TlCd23 for λ = 1.5418 Å (Cu Kα), from a GGA-PBE-relaxed structure.
Kinematic intensities with the Lorentz-polarization factor, no thermal factor.

Atomic structure:
```
Sr6TlCd23
1.0
0.0000 7.3345 7.3345
7.3345 0.0000 7.3345
7.3345 7.3345 0.0000
Sr Tl Cd
6 1 23
direct
0.2278 0.2278 0.7722
0.2278 0.7722 0.2278
0.2278 0.7722 0.7722
0.7722 0.2278 0.2278
0.7722 0.2278 0.7722
0.7722 0.7722 0.2278
0.0000 0.0000 0.0000
0.0000 0.0000 0.5000
0.0000 0.5000 0.0000
0.0000 0.5000 0.5000
0.1217 0.6261 0.6261
0.1636 0.1636 0.1636
0.1636 0.1636 0.5092
0.1636 0.5092 0.1636
0.3739 0.3739 0.3739
0.3739 0.3739 0.8783
0.3739 0.8783 0.3739
0.4908 0.8364 0.8364
0.5000 0.0000 0.0000
0.5000 0.0000 0.5000
0.5000 0.5000 0.0000
0.5000 0.5000 0.5000
0.5092 0.1636 0.1636
0.6261 0.1217 0.6261
0.6261 0.6261 0.1217
0.6261 0.6261 0.6261
0.8364 0.4908 0.8364
0.8364 0.8364 0.4908
0.8364 0.8364 0.8364
0.8783 0.3739 0.3739
```

Top 10 peaks for 10 to 90 degrees two-theta, sorted by position:
two_theta	d/Å	intensity
27.19	3.280	127
31.70	2.823	208
34.59	2.593	1000
36.76	2.445	95
40.32	2.237	104
40.80	2.211	96
49.72	1.834	98
60.18	1.538	103
61.98	1.497	232
72.97	1.297	83